(1)
Theoretical X-ray diffraction stick pattern of Ac2SiPd6Pt for Cu Ka, from DFT lattice parameters and positions (GGA-PBE).
Lines closer than 0.1° are merged.

Most intense lines, 10° ≤ 2θ ≤ 90°, sorted by position:
| 2θ (°) | d/Å | I/Imax |
| --- | --- | --- |
| 27.5 | 3.246 | 60 |
| 31.7 | 2.821 | 56 |
| 32.9 | 2.720 | 22 |
| 34.5 | 2.600 | 60 |
| 36.9 | 2.436 | 100 |
| 37.8 | 2.382 | 49 |
| 51.3 | 1.780 | 18 |
| 55.6 | 1.653 | 19 |
| 56.1 | 1.639 | 18 |
| 56.7 | 1.623 | 41 |

Structure:
Cell: 11.9941 11.9941 11.9941 Å, 31.41 31.41 31.41°
Atoms (fractional coordinates):
Ac 0.1109 0.1109 0.1109
Ac 0.2827 0.2827 0.2827
Ac 0.7173 0.7173 0.7173
Ac 0.8891 0.8891 0.8891
Si 0.0000 0.0000 0.0000
Si 0.5000 0.5000 0.5000
Pd 0.0776 0.6685 0.6685
Pd 0.2192 0.2192 0.6536
Pd 0.2192 0.6536 0.2192
Pd 0.3315 0.3315 0.9224
Pd 0.3315 0.9224 0.3315
Pd 0.3464 0.7808 0.7808
Pd 0.6536 0.2192 0.2192
Pd 0.6685 0.0776 0.6685
Pd 0.6685 0.6685 0.0776
Pd 0.7808 0.3464 0.7808
Pd 0.7808 0.7808 0.3464
Pd 0.9224 0.3315 0.3315
Pt 0.4268 0.4268 0.4268
Pt 0.5732 0.5732 0.5732



(2)
Theoretical X-ray diffraction stick pattern of Ac2ZnPdPt6 for Cu Ka, from DFT lattice parameters and positions (GGA-PBE).
Lines closer than 0.1° are merged.

Most intense lines, 10° ≤ 2θ ≤ 90°, sorted by position:
| 2θ (°) | d/Å | I/Imax |
| --- | --- | --- |
| 10.5 | 8.417 | 30 |
| 21.1 | 4.209 | 57 |
| 25.5 | 3.500 | 28 |
| 37.7 | 2.384 | 92 |
| 38.6 | 2.333 | 39 |
| 39.8 | 2.266 | 100 |
| 40.3 | 2.240 | 42 |
| 47.2 | 1.924 | 28 |
| 62.6 | 1.484 | 23 |
| 66.7 | 1.402 | 36 |

Structure:
Cell: 9.0181 9.0181 9.0181 Å, 36.21 36.21 36.21°
Atoms (fractional coordinates):
Ac 0.2037 0.2037 0.2037
Ac 0.7963 0.7963 0.7963
Zn 0.0000 0.0000 0.0000
Pd 0.5000 0.5000 0.5000
Pt 0.2465 0.2465 0.7461
Pt 0.2465 0.7461 0.2465
Pt 0.2539 0.7535 0.7535
Pt 0.7461 0.2465 0.2465
Pt 0.7535 0.2539 0.7535
Pt 0.7535 0.7535 0.2539



(3)
Theoretical X-ray diffraction stick pattern of Ac2ZnPd2Pt5 for Cu Ka, from DFT lattice parameters and positions (GGA-PBE).
Lines closer than 0.1° are merged.

Most intense lines, 10° ≤ 2θ ≤ 90°, sorted by position:
| 2θ (°) | d/Å | I/Imax |
| --- | --- | --- |
| 28.2 | 3.162 | 21 |
| 29.7 | 3.008 | 25 |
| 33.8 | 2.654 | 25 |
| 36.3 | 2.478 | 100 |
| 38.0 | 2.369 | 50 |
| 39.1 | 2.302 | 31 |
| 39.7 | 2.268 | 35 |
| 43.0 | 2.105 | 20 |
| 43.6 | 2.075 | 33 |
| 59.2 | 1.561 | 28 |

Structure:
Cell: 9.7677 9.7677 4.1494 Å, 90.00 90.00 90.00°
Atoms (fractional coordinates):
Ac 0.1757 0.3243 0.0000
Ac 0.3243 0.8243 0.0000
Ac 0.6757 0.1757 0.0000
Ac 0.8243 0.6757 0.0000
Zn 0.0000 0.0000 0.0000
Zn 0.5000 0.5000 0.0000
Pd 0.1253 0.6253 0.0000
Pd 0.3747 0.1253 0.0000
Pd 0.6253 0.8747 0.0000
Pd 0.8747 0.3747 0.0000
Pt 0.0000 0.5000 0.5000
Pt 0.0534 0.8023 0.5000
Pt 0.1977 0.0534 0.5000
Pt 0.3023 0.5534 0.5000
Pt 0.4466 0.3023 0.5000
Pt 0.5000 0.0000 0.5000
Pt 0.5534 0.6977 0.5000
Pt 0.6977 0.4466 0.5000
Pt 0.8023 0.9466 0.5000
Pt 0.9466 0.1977 0.5000



(4)
Theoretical X-ray diffraction stick pattern of AcPu3Pd8 for Cu Ka, from DFT lattice parameters and positions (GGA-PBE).
Lines closer than 0.1° are merged.

Most intense lines, 10° ≤ 2θ ≤ 90°, sorted by position:
| 2θ (°) | d/Å | I/Imax |
| --- | --- | --- |
| 32.5 | 2.759 | 60 |
| 35.2 | 2.548 | 96 |
| 37.6 | 2.389 | 15 |
| 38.2 | 2.355 | 100 |
| 39.0 | 2.310 | 66 |
| 59.7 | 1.549 | 41 |
| 61.8 | 1.502 | 25 |
| 64.7 | 1.441 | 28 |
| 68.0 | 1.379 | 27 |
| 78.9 | 1.213 | 19 |

Structure:
Cell: 5.5180 5.5180 9.0358 Å, 90.00 90.00 120.00°
Atoms (fractional coordinates):
Ac 0.0000 0.0000 0.0000
Pu 0.0000 0.0000 0.3818
Pu 0.6667 0.3333 0.4829
Pu 0.6667 0.3333 0.8397
Pd 0.1653 0.3306 0.6755
Pd 0.1653 0.8347 0.6755
Pd 0.3333 0.6667 0.4278
Pd 0.3333 0.6667 0.9272
Pd 0.5023 0.0047 0.1821
Pd 0.5023 0.4977 0.1821
Pd 0.6694 0.8347 0.6755
Pd 0.9953 0.4977 0.1821



(5)
Theoretical X-ray diffraction stick pattern of AcPuPd for Cu Ka, from DFT lattice parameters and positions (GGA-PBE).
Lines closer than 0.1° are merged.

Most intense lines, 10° ≤ 2θ ≤ 90°, sorted by position:
| 2θ (°) | d/Å | I/Imax |
| --- | --- | --- |
| 24.9 | 3.581 | 25 |
| 28.8 | 3.097 | 14 |
| 32.3 | 2.772 | 100 |
| 33.9 | 2.645 | 56 |
| 43.8 | 2.065 | 16 |
| 45.1 | 2.011 | 18 |
| 48.7 | 1.870 | 21 |
| 57.6 | 1.600 | 20 |
| 59.6 | 1.550 | 39 |
| 80.5 | 1.193 | 14 |

Structure:
Cell: 3.7406 3.7406 12.3872 Å, 90.00 90.00 90.00°
Atoms (fractional coordinates):
Ac 0.0000 0.0000 0.0000
Ac 0.5000 0.5000 0.5000
Pu 0.0000 0.0000 0.2779
Pu 0.5000 0.5000 0.7779
Pd 0.0000 0.0000 0.6533
Pd 0.5000 0.5000 0.1533



(6)
Theoretical X-ray diffraction stick pattern of AcPu2Pd4 for Cu Ka, from DFT lattice parameters and positions (GGA-PBE).
Lines closer than 0.1° are merged.

Most intense lines, 10° ≤ 2θ ≤ 90°, sorted by position:
| 2θ (°) | d/Å | I/Imax |
| --- | --- | --- |
| 24.7 | 3.600 | 22 |
| 27.9 | 3.198 | 18 |
| 31.9 | 2.802 | 100 |
| 32.5 | 2.756 | 41 |
| 38.8 | 2.320 | 31 |
| 41.5 | 2.177 | 25 |
| 41.8 | 2.160 | 19 |
| 45.8 | 1.980 | 19 |
| 53.6 | 1.708 | 21 |
| 61.6 | 1.506 | 16 |

Structure:
Cell: 3.9598 4.3545 19.1887 Å, 90.00 90.00 90.00°
Atoms (fractional coordinates):
Ac 0.0000 0.0000 0.0000
Ac 0.5000 0.5000 0.5000
Pu 0.0000 0.5000 0.1885
Pu 0.0000 0.5000 0.8115
Pu 0.5000 0.0000 0.3115
Pu 0.5000 0.0000 0.6885
Pd 0.0000 0.0000 0.4292
Pd 0.0000 0.0000 0.5708
Pd 0.0000 0.5000 0.3408
Pd 0.0000 0.5000 0.6592
Pd 0.5000 0.0000 0.1592
Pd 0.5000 0.0000 0.8408
Pd 0.5000 0.5000 0.0708
Pd 0.5000 0.5000 0.9292



(7)
Theoretical X-ray diffraction stick pattern of AcPuPd for Cu Ka, from DFT lattice parameters and positions (GGA-PBE).
Lines closer than 0.1° are merged.

Most intense lines, 10° ≤ 2θ ≤ 90°, sorted by position:
| 2θ (°) | d/Å | I/Imax |
| --- | --- | --- |
| 27.5 | 3.247 | 12 |
| 28.2 | 3.160 | 100 |
| 37.2 | 2.416 | 33 |
| 43.3 | 2.088 | 30 |
| 49.0 | 1.857 | 19 |
| 52.1 | 1.756 | 13 |
| 52.5 | 1.742 | 19 |
| 58.4 | 1.580 | 9 |
| 70.4 | 1.338 | 16 |
| 74.0 | 1.282 | 11 |

Structure:
Cell: 4.1765 4.1765 6.4932 Å, 90.00 90.00 120.00°
Atoms (fractional coordinates):
Ac 0.0000 0.0000 0.0000
Pu 0.3333 0.6667 0.5304
Pd 0.6667 0.3333 0.2847



(8)
Theoretical X-ray diffraction stick pattern of AcPuSb2Pd5 for Cu Ka, from DFT lattice parameters and positions (GGA-PBE).
Lines closer than 0.1° are merged.

Most intense lines, 10° ≤ 2θ ≤ 90°, sorted by position:
| 2θ (°) | d/Å | I/Imax |
| --- | --- | --- |
| 26.9 | 3.314 | 37 |
| 33.6 | 2.666 | 15 |
| 33.8 | 2.650 | 100 |
| 39.5 | 2.282 | 30 |
| 40.9 | 2.206 | 57 |
| 41.4 | 2.181 | 23 |
| 49.6 | 1.836 | 14 |
| 59.2 | 1.560 | 19 |
| 59.6 | 1.551 | 16 |
| 70.0 | 1.344 | 24 |

Structure:
Cell: 4.4122 4.4122 10.0377 Å, 90.00 90.00 90.00°
Atoms (fractional coordinates):
Ac 0.0000 0.0000 0.0000
Pu 0.0000 0.0000 0.5000
Sb 0.5000 0.5000 0.3556
Sb 0.5000 0.5000 0.6444
Pd 0.0000 0.5000 0.2122
Pd 0.0000 0.5000 0.7878
Pd 0.5000 0.0000 0.2122
Pd 0.5000 0.0000 0.7878
Pd 0.5000 0.5000 0.0000



(9)
Theoretical X-ray diffraction stick pattern of Ac5Pd2Rh2 for Cu Ka, from DFT lattice parameters and positions (GGA-PBE).
Lines closer than 0.1° are merged.

Most intense lines, 10° ≤ 2θ ≤ 90°, sorted by position:
| 2θ (°) | d/Å | I/Imax |
| --- | --- | --- |
| 24.2 | 3.683 | 37 |
| 25.0 | 3.562 | 27 |
| 29.8 | 2.994 | 100 |
| 30.8 | 2.902 | 38 |
| 31.5 | 2.838 | 45 |
| 31.7 | 2.823 | 37 |
| 32.5 | 2.753 | 32 |
| 33.4 | 2.681 | 88 |
| 34.9 | 2.572 | 65 |
| 35.2 | 2.549 | 59 |

Structure:
Cell: 8.8415 8.8415 8.1617 Å, 90.00 90.00 55.66°
Atoms (fractional coordinates):
Ac 0.0000 0.0000 0.0000
Ac 0.0358 0.6971 0.6619
Ac 0.1971 0.5358 0.1619
Ac 0.3029 0.9642 0.6619
Ac 0.4642 0.8029 0.1619
Ac 0.5000 0.5000 0.5000
Ac 0.5358 0.1971 0.8381
Ac 0.6971 0.0358 0.3381
Ac 0.8029 0.4642 0.8381
Ac 0.9642 0.3029 0.3381
Pd 0.2034 0.2034 0.0000
Pd 0.2966 0.2966 0.5000
Pd 0.7034 0.7034 0.5000
Pd 0.7966 0.7966 0.0000
Rh 0.1352 0.8648 0.3659
Rh 0.3648 0.6352 0.8659
Rh 0.6352 0.3648 0.1341
Rh 0.8648 0.1352 0.6341



(10)
Theoretical X-ray diffraction stick pattern of Ac7Pd2Rh2 for Cu Ka, from DFT lattice parameters and positions (GGA-PBE).
Lines closer than 0.1° are merged.

Most intense lines, 10° ≤ 2θ ≤ 90°, sorted by position:
| 2θ (°) | d/Å | I/Imax |
| --- | --- | --- |
| 26.7 | 3.336 | 59 |
| 28.1 | 3.176 | 100 |
| 30.8 | 2.903 | 27 |
| 31.5 | 2.839 | 90 |
| 32.0 | 2.796 | 42 |
| 35.7 | 2.515 | 30 |
| 36.7 | 2.447 | 19 |
| 43.3 | 2.089 | 35 |
| 50.0 | 1.825 | 23 |
| 72.3 | 1.306 | 20 |

Structure:
Cell: 10.0200 10.0200 10.0200 Å, 155.94 66.73 118.81°
Atoms (fractional coordinates):
Ac 0.0000 0.0000 0.0000
Ac 0.1099 0.4187 0.6912
Ac 0.1683 0.7862 0.3821
Ac 0.4040 0.7862 0.6179
Ac 0.5223 0.6300 0.8923
Ac 0.7275 0.4187 0.3088
Ac 0.7377 0.6300 0.1077
Pd 0.3680 0.1262 0.2417
Pd 0.8845 0.1262 0.7583
Rh 0.3732 0.3732 0.0000
Rh 0.7927 0.2927 0.5000



(11)
Theoretical X-ray diffraction stick pattern of Ac4PdRh2 for Cu Ka, from DFT lattice parameters and positions (GGA-PBE).
Lines closer than 0.1° are merged.

Most intense lines, 10° ≤ 2θ ≤ 90°, sorted by position:
| 2θ (°) | d/Å | I/Imax |
| --- | --- | --- |
| 26.7 | 3.339 | 100 |
| 26.9 | 3.311 | 27 |
| 27.0 | 3.297 | 19 |
| 35.4 | 2.537 | 15 |
| 35.5 | 2.531 | 31 |
| 35.6 | 2.524 | 16 |
| 40.4 | 2.231 | 21 |
| 41.0 | 2.199 | 39 |
| 46.8 | 1.941 | 17 |
| 49.3 | 1.849 | 19 |

Structure:
Cell: 15.4277 4.4611 7.5821 Å, 90.00 119.16 90.00°
Atoms (fractional coordinates):
Ac 0.1273 0.0000 0.3068
Ac 0.1371 0.5000 0.7950
Ac 0.3629 0.0000 0.2050
Ac 0.3727 0.5000 0.6932
Ac 0.6273 0.5000 0.3068
Ac 0.6371 0.0000 0.7950
Ac 0.8629 0.5000 0.2050
Ac 0.8727 0.0000 0.6932
Pd 0.0000 0.5000 0.0000
Pd 0.5000 0.0000 0.0000
Rh 0.2366 0.5000 0.2378
Rh 0.2634 0.0000 0.7622
Rh 0.7366 0.0000 0.2378
Rh 0.7634 0.5000 0.7622



(12)
Theoretical X-ray diffraction stick pattern of Ac2Pd2Rh for Cu Ka, from DFT lattice parameters and positions (GGA-PBE).
Lines closer than 0.1° are merged.

Most intense lines, 10° ≤ 2θ ≤ 90°, sorted by position:
| 2θ (°) | d/Å | I/Imax |
| --- | --- | --- |
| 23.9 | 3.728 | 21 |
| 31.5 | 2.840 | 100 |
| 32.7 | 2.736 | 57 |
| 35.9 | 2.500 | 46 |
| 37.1 | 2.423 | 48 |
| 43.5 | 2.078 | 25 |
| 45.0 | 2.014 | 22 |
| 55.5 | 1.655 | 26 |
| 59.7 | 1.549 | 24 |
| 64.4 | 1.446 | 15 |

Structure:
Cell: 4.0289 4.1566 14.9115 Å, 90.00 90.00 90.00°
Atoms (fractional coordinates):
Ac 0.0000 0.0000 0.0000
Ac 0.0000 0.0000 0.2522
Ac 0.0000 0.5000 0.5000
Ac 0.0000 0.5000 0.7522
Pd 0.5000 0.0000 0.6334
Pd 0.5000 0.0000 0.8244
Pd 0.5000 0.5000 0.1334
Pd 0.5000 0.5000 0.3244
Rh 0.5000 0.0000 0.4456
Rh 0.5000 0.5000 0.9456